This entry pairs a crystal structure of Sc4InSe6 with its computed PXRD pattern. Radiation: Cu Kα. Structure: the GGA-PBE geometry in Alexandria.
Peak positions follow from Bragg's law for the DFT cell and can differ from measured ones.

Atomic structure:
a = 6.7899 Å, b = 6.7899 Å, c = 20.4568 Å
α = 90.00°, β = 90.00°, γ = 146.54°
Sites, in units of the cell vectors:
Sc: 0.0885 0.9115 0.6295
Sc: 0.0885 0.9115 0.8705
Sc: 0.3647 0.6353 0.5403
Sc: 0.3647 0.6353 0.9597
Sc: 0.6353 0.3647 0.0403
Sc: 0.6353 0.3647 0.4597
Sc: 0.9115 0.0885 0.1295
Sc: 0.9115 0.0885 0.3705
In: 0.1742 0.8258 0.2500
In: 0.8258 0.1742 0.7500
Se: 0.0000 0.0000 0.0000
Se: 0.0000 0.0000 0.5000
Se: 0.1526 0.8474 0.7500
Se: 0.2725 0.7275 0.0827
Se: 0.2725 0.7275 0.4173
Se: 0.4556 0.5444 0.6546
Se: 0.4556 0.5444 0.8454
Se: 0.5444 0.4556 0.1546
Se: 0.5444 0.4556 0.3454
Se: 0.7275 0.2725 0.5827
Se: 0.7275 0.2725 0.9173
Se: 0.8474 0.1526 0.2500

Main lines, low angle first (2θ from 5° to 70°):
Position (°2θ)  intensity
29.58  100
31.11  50
32.05  96
33.57  33
42.83  19
45.47  44
46.46  29
46.75  11
47.50  23
54.91  15
56.04  23
67.02  12

---

This entry pairs a crystal structure of MnV2Ga with its computed PXRD pattern. Radiation: Cu Kα. Structure: the GGA-PBE geometry in Alexandria.
Peak positions follow from Bragg's law for the DFT cell and can differ from measured ones.

Atomic structure:
a = 3.0646 Å, b = 3.0646 Å, c = 5.5612 Å
α = 90.00°, β = 90.00°, γ = 90.00°
Sites, in units of the cell vectors:
Mn: 0.0000 0.0000 0.0000
V: 0.5000 0.5000 0.2273
V: 0.5000 0.5000 0.7727
Ga: 0.0000 0.0000 0.5000

Main lines, low angle first (2θ from 5° to 70°):
Position (°2θ)  intensity
29.14  3
32.19  1
33.38  4
41.68  61
43.97  100
49.15  1
53.62  1
60.41  19
66.36  2
67.35  6
68.46  1

---

This entry pairs a crystal structure of Cd2Ag with its computed PXRD pattern. Radiation: Cu Kα. Structure: the GGA-PBE geometry in Alexandria.
Peak positions follow from Bragg's law for the DFT cell and can differ from measured ones.

Atomic structure:
a = 4.9202 Å, b = 4.9202 Å, c = 5.8252 Å
α = 90.00°, β = 90.00°, γ = 120.00°
Sites, in units of the cell vectors:
Cd: 0.0000 0.0000 0.0000
Cd: 0.0000 0.0000 0.5000
Cd: 0.3333 0.6667 0.2500
Cd: 0.6667 0.3333 0.7500
Ag: 0.3333 0.6667 0.7500
Ag: 0.6667 0.3333 0.2500

Main lines, low angle first (2θ from 5° to 70°):
Position (°2θ)  intensity
30.70  6
36.52  100
37.40  83
48.43  9
53.27  29
63.93  6
65.75  17
66.32  29

---

This entry pairs a crystal structure of BiIr2Os with its computed PXRD pattern. Radiation: Cu Kα. Structure: the GGA-PBE geometry in Alexandria.
Peak positions follow from Bragg's law for the DFT cell and can differ from measured ones.

Atomic structure:
a = 5.8854 Å, b = 5.8854 Å, c = 11.6430 Å
α = 90.00°, β = 90.00°, γ = 90.00°
Sites, in units of the cell vectors:
Bi: 0.0000 0.0000 0.0000
Bi: 0.0000 0.5000 0.2500
Bi: 0.5000 0.0000 0.7500
Bi: 0.5000 0.5000 0.5000
Ir: 0.2016 0.2500 0.6250
Ir: 0.2500 0.7016 0.8750
Ir: 0.2500 0.7984 0.3750
Ir: 0.2984 0.2500 0.1250
Ir: 0.7016 0.7500 0.1250
Ir: 0.7500 0.2016 0.3750
Ir: 0.7500 0.2984 0.8750
Ir: 0.7984 0.7500 0.6250
Os: 0.0000 0.0000 0.5000
Os: 0.0000 0.5000 0.7500
Os: 0.5000 0.0000 0.2500
Os: 0.5000 0.5000 0.0000

Main lines, low angle first (2θ from 5° to 70°):
Position (°2θ)  intensity
26.32  100
34.95  6
41.45  3
43.49  23
43.74  50
51.55  28
52.00  16
56.97  3
61.64  3
63.20  7
63.97  5
69.68  5

---

This entry pairs a crystal structure of Y2ErBi2Te2 with its computed PXRD pattern. Radiation: Cu Kα. Structure: the GGA-PBE geometry in Alexandria.
Peak positions follow from Bragg's law for the DFT cell and can differ from measured ones.

Atomic structure:
a = 5.8373 Å, b = 5.8373 Å, c = 15.2342 Å
α = 90.00°, β = 90.00°, γ = 90.00°
Sites, in units of the cell vectors:
Y: 0.0000 0.0000 0.1154
Y: 0.0000 0.0000 0.8846
Y: 0.5000 0.5000 0.3846
Y: 0.5000 0.5000 0.6154
Er: 0.0000 0.0000 0.5000
Er: 0.5000 0.5000 0.0000
Bi: 0.0000 0.5000 0.0000
Bi: 0.0000 0.5000 0.5000
Bi: 0.5000 0.0000 0.0000
Bi: 0.5000 0.0000 0.5000
Te: 0.0000 0.0000 0.3038
Te: 0.0000 0.0000 0.6962
Te: 0.5000 0.5000 0.1962
Te: 0.5000 0.5000 0.8038

Main lines, low angle first (2θ from 5° to 70°):
Position (°2θ)  intensity
11.62  74
23.36  20
24.53  60
30.63  100
31.97  24
32.86  27
33.17  52
38.87  23
43.87  38
45.77  42
47.46  23
50.90  17

---

This entry pairs a crystal structure of Na3Er3PuSe8 with its computed PXRD pattern. Radiation: Cu Kα. Structure: the GGA-PBE geometry in Alexandria.
Peak positions follow from Bragg's law for the DFT cell and can differ from measured ones.

Atomic structure:
a = 8.4933 Å, b = 8.4933 Å, c = 8.4933 Å
α = 57.92°, β = 57.92°, γ = 57.92°
Sites, in units of the cell vectors:
Na: 0.0000 0.5000 0.5000
Na: 0.5000 0.0000 0.5000
Na: 0.5000 0.5000 0.0000
Er: 0.0000 0.0000 0.5000
Er: 0.0000 0.5000 0.0000
Er: 0.5000 0.0000 0.0000
Pu: 0.5000 0.5000 0.5000
Se: 0.2418 0.7408 0.7408
Se: 0.2426 0.2426 0.2426
Se: 0.2592 0.2592 0.7582
Se: 0.2592 0.7582 0.2592
Se: 0.7408 0.2418 0.7408
Se: 0.7408 0.7408 0.2418
Se: 0.7574 0.7574 0.7574
Se: 0.7582 0.2592 0.2592

Main lines, low angle first (2θ from 5° to 70°):
Position (°2θ)  intensity
12.57  72
25.36  30
30.27  100
32.89  9
39.12  19
42.62  37
44.04  36
45.98  18
51.94  6
54.27  10
54.37  19
62.95  12

---

This entry pairs a crystal structure of Pr3DyTm7 with its computed PXRD pattern. Radiation: Cu Kα. Structure: the GGA-PBE geometry in Alexandria.
Peak positions follow from Bragg's law for the DFT cell and can differ from measured ones.

Atomic structure:
a = 6.4818 Å, b = 6.6625 Å, c = 8.5568 Å
α = 99.52°, β = 98.23°, γ = 95.12°
Sites, in units of the cell vectors:
Pr: 0.0000 0.0000 0.0000
Pr: 0.1982 0.5623 0.1642
Pr: 0.8018 0.4377 0.8358
Dy: 0.5000 0.0000 0.5000
Tm: 0.0128 0.7678 0.5795
Tm: 0.2802 0.2753 0.7862
Tm: 0.4386 0.7918 0.8542
Tm: 0.5000 0.5000 0.5000
Tm: 0.5614 0.2082 0.1458
Tm: 0.7198 0.7247 0.2138
Tm: 0.9872 0.2322 0.4205

Main lines, low angle first (2θ from 5° to 70°):
Position (°2θ)  intensity
27.39  13
28.03  14
31.61  100
32.15  82
32.24  27
32.37  37
32.52  52
32.69  34
33.10  55
34.81  23
53.73  12
57.93  14

---

This entry pairs a crystal structure of TbNi4Ir with its computed PXRD pattern. Radiation: Cu Kα. Structure: the GGA-PBE geometry in Alexandria.
Peak positions follow from Bragg's law for the DFT cell and can differ from measured ones.

Atomic structure:
a = 6.8689 Å, b = 3.9853 Å, c = 6.6110 Å
α = 90.00°, β = 90.00°, γ = 90.00°
Sites, in units of the cell vectors:
Tb: 0.2500 0.0000 0.1592
Tb: 0.7500 0.0000 0.8408
Ni: 0.0000 0.0000 0.5000
Ni: 0.0598 0.5000 0.8222
Ni: 0.2500 0.5000 0.4978
Ni: 0.4402 0.5000 0.8222
Ni: 0.5000 0.0000 0.5000
Ni: 0.5598 0.5000 0.1778
Ni: 0.7500 0.5000 0.5022
Ni: 0.9402 0.5000 0.1778
Ir: 0.2500 0.0000 0.7469
Ir: 0.7500 0.0000 0.2531

Main lines, low angle first (2θ from 5° to 70°):
Position (°2θ)  intensity
18.63  23
22.31  35
25.94  33
26.97  20
34.47  50
37.14  54
37.73  44
40.95  26
44.31  100
45.52  43
49.07  16
53.35  17